This entry pairs a crystal structure of NdTlSe2 with its simulated PXRD pattern. Radiation: λ = 1.5418 Å (Cu Kα). Structure: a structure optimized by DFT (GGA-PBE).
Intensities are scaled so that the largest is 100.

Most intense lines, 2θ from 15° to 90°, sorted by position:
hkl, 2theta, d/Å, I_rel
0 0 6, 22.87, 3.888, 9
0 1 2, 24.94, 3.571, 19
1 0 4, 28.29, 3.155, 100
0 1 8, 39.13, 2.302, 38
1 1 0, 41.71, 2.166, 36
0 2 4, 51.16, 1.785, 19
2 0 8, 58.51, 1.577, 12
1 1 12, 64.40, 1.447, 15
2 1 4, 68.06, 1.378, 17
1 2 8, 74.40, 1.275, 12

Structure:
```
data_NdTlSe2
_cell_length_a 4.3313
_cell_length_b 4.3313
_cell_length_c 23.3309
_cell_angle_alpha 90.00
_cell_angle_beta 90.00
_cell_angle_gamma 120.00
_symmetry_space_group_name_H-M 'R -3 m'
_symmetry_Int_Tables_number 166
_symmetry_space_group_name_Hall '-R 3 2"'
loop_
_atom_site_label
_atom_site_fract_x
_atom_site_fract_y
_atom_site_fract_z
Nd1 0.0000 0.0000 0.0000
Tl1 0.0000 0.0000 0.5000
Se1 0.0000 0.0000 0.2633
```

---

This entry pairs a crystal structure of LiAl2H4Pb2O4F6 with its simulated PXRD pattern. Radiation: λ = 1.5418 Å (Cu Kα). Structure: a structure optimized by DFT (GGA-PBE).
Intensities are scaled so that the largest is 100.

Most intense lines, 2θ from 15° to 90°, sorted by position:
hkl, 2theta, d/Å, I_rel
1 0 0, 18.46, 4.807, 100
1 0 -1, 20.36, 4.362, 57
0 1 1, 22.20, 4.004, 52
1 1 -1, 23.26, 3.824, 43
0 0 2, 26.53, 3.360, 67
0 2 0, 26.65, 3.345, 48
0 2 -2, 29.11, 3.067, 53
1 -2 1, 29.52, 3.026, 48
1 2 0, 35.37, 2.538, 47
0 3 -1, 37.02, 2.428, 39

Structure:
```
data_LiAl2H4Pb2O4F6
_cell_length_a 4.944
_cell_length_b 7.351
_cell_length_c 7.422
_cell_angle_alpha 112.24
_cell_angle_beta 98.59
_cell_angle_gamma 96.35
_symmetry_space_group_name_H-M 'P 1'
_symmetry_Int_Tables_number 1
loop_
_symmetry_equiv_pos_as_xyz
'x,y,z'
loop_
_atom_site_label
_atom_site_fract_x
_atom_site_fract_y
_atom_site_fract_z
Li1 0.000 0.000 0.000
Al1 0.354 0.311 0.332
Al2 0.659 0.678 0.670
H1 0.186 0.487 0.659
H2 0.247 0.838 0.625
H3 0.764 0.148 0.379
H4 0.825 0.501 0.342
Pb1 0.400 0.766 0.244
Pb2 0.595 0.223 0.758
O1 0.360 0.462 0.610
O2 0.434 0.845 0.591
O3 0.576 0.142 0.411
O4 0.651 0.527 0.392
F1 0.050 0.121 0.291
F2 0.109 0.456 0.255
F3 0.364 0.178 0.072
F4 0.647 0.811 0.929
F5 0.901 0.531 0.746
F6 0.961 0.868 0.711
```